Structure and calculated powder diffraction line list of Rb2CaIrF6 (a GGA-PBE-relaxed structure; a wavelength of 1.5418 Å).
Intensities are scaled so that the largest is 100.

Structural model:
```
10
Lattice="-3.1878 3.1878 4.3142 3.1878 -3.1878 4.3142 3.1878 3.1878 -4.3142" Properties=species:S:1:pos:R:3 pbc="T T T"
Rb 3.1878 0.0000 2.1571
Rb 0.0000 3.1878 2.1571
Ca 0.0000 0.0000 0.0000
Ir 0.0000 0.0000 4.3142
F 1.5796 1.5796 0.0000
F 1.6082 -1.6082 4.3142
F 0.0000 0.0000 2.2542
F 0.0000 0.0000 6.3743
F -1.6082 1.6082 4.3142
F 1.6082 1.6082 4.3142
```

The 8 most intense peaks (10° ≤ 2θ ≤ 90°), most intense first:
- 2θ 28.64, I = 100
- 2θ 27.99, I = 53
- 2θ 17.29, I = 53
- 2θ 49.93, I = 43
- 2θ 40.00, I = 41
- 2θ 59.30, I = 24
- 2θ 33.09, I = 23
- 2θ 51.13, I = 20